Entry 1:
The following is a calculated XRD peak list of Li2ZnCd5. It was derived from DFT lattice parameters and positions (PBE), using Cu Kα.

Most intense lines, 2θ = 10–90°, low angle first:
2θ/deg  I_rel
19.96  17
21.18  42
29.26  41
36.35  89
36.46  100
40.56  38
43.12  53
60.68  38
71.02  19
74.75  18

Structural model:
Cell: 5.9454 11.8422 4.4485 Å, 90.00 90.00 90.00°
Fractional coordinates of all 16 atoms:
Li  0.2197  0.1282  0.0000
Li  0.2803  0.6282  0.0000
Li  0.7197  0.3718  0.0000
Li  0.7803  0.8718  0.0000
Zn  0.0000  0.5000  0.5000
Zn  0.5000  0.0000  0.5000
Cd  0.0000  0.0000  0.5000
Cd  0.0383  0.7437  0.5000
Cd  0.2159  0.3830  0.0000
Cd  0.2841  0.8830  0.0000
Cd  0.4617  0.2437  0.5000
Cd  0.5000  0.5000  0.5000
Cd  0.5383  0.7563  0.5000
Cd  0.7159  0.1170  0.0000
Cd  0.7841  0.6170  0.0000
Cd  0.9617  0.2563  0.5000

Entry 2:
The following is a calculated XRD peak list of Pm4IrSCl2. It was derived from DFT lattice parameters and positions (PBE), using Cu Kα.

Most intense lines, 2θ = 10–90°, low angle first:
2θ/deg  I_rel
12.45  44
12.74  17
29.85  55
30.38  100
39.00  16
41.62  16
42.74  34
43.48  39
45.29  24
55.21  20

Structural model:
Cell: 7.3103 4.0027 7.4809 Å, 90.00 108.13 90.00°
Fractional coordinates of all 8 atoms:
Pm  0.2236  0.0000  0.2136
Pm  0.2614  0.5000  0.7864
Pm  0.7386  0.5000  0.2136
Pm  0.7764  0.0000  0.7864
Ir  0.0000  0.5000  0.0000
S  0.5000  0.0000  0.0000
Cl  0.0000  0.0000  0.5000
Cl  0.5000  0.5000  0.5000

Entry 3:
The following is a calculated XRD peak list of BaMgGa3. It was derived from DFT lattice parameters and positions (PBE), using Cu Kα.

Most intense lines, 2θ = 10–90°, low angle first:
2θ/deg  I_rel
20.79  12
27.39  37
30.37  85
31.59  100
39.13  63
44.08  45
50.28  20
50.36  20
60.42  26
66.17  11

Structural model:
Cell: 4.6046 4.6046 6.5942 Å, 110.40 110.40 89.88°
Fractional coordinates of all 5 atoms:
Ba  0.0000  0.0000  0.0000
Mg  0.2497  0.7503  0.5000
Ga  0.3851  0.3854  0.7708
Ga  0.6146  0.6149  0.2292
Ga  0.7507  0.2493  0.5000

Entry 4:
The following is a calculated XRD peak list of Na3AuF. It was derived from DFT lattice parameters and positions (PBE), using Cu Kα.

Most intense lines, 2θ = 10–90°, low angle first:
2θ/deg  I_rel
19.05  69
27.07  100
33.32  67
38.66  45
43.44  37
47.83  43
55.83  30
59.54  19
66.59  27
76.53  22

Structural model:
Cell: 4.6578 4.6578 4.6578 Å, 90.00 90.00 90.00°
Fractional coordinates of all 5 atoms:
Na  0.0000  0.0000  0.5000
Na  0.0000  0.5000  0.0000
Na  0.5000  0.0000  0.0000
Au  0.5000  0.5000  0.5000
F  0.0000  0.0000  0.0000

Entry 5:
The following is a calculated XRD peak list of CeSm2P3. It was derived from DFT lattice parameters and positions (PBE), using Cu Kα.

Most intense lines, 2θ = 10–90°, low angle first:
2θ/deg  I_rel
26.64  81
30.85  100
44.20  73
52.35  40
54.87  26
64.29  12
70.87  16
73.00  33
81.33  25
87.44  12

Structural model:
Cell: 7.0967 7.0967 7.0967 Å, 146.41 131.80 60.02°
Fractional coordinates of all 6 atoms:
Ce  0.0000  0.0000  0.0000
Sm  0.3329  0.3329  0.0000
Sm  0.6671  0.6671  0.0000
P  0.1637  0.6637  0.5000
P  0.5000  0.0000  0.5000
P  0.8363  0.3363  0.5000

Entry 6:
The following is a calculated XRD peak list of NaPmIn2Br6. It was derived from DFT lattice parameters and positions (PBE), using Cu Kα.

Most intense lines, 2θ = 10–90°, low angle first:
2θ/deg  I_rel
13.54  34
15.54  40
21.79  41
25.96  100
27.28  34
31.37  82
34.86  81
38.81  35
39.11  52
46.86  30

Structural model:
Cell: 8.1609 8.1609 8.1609 Å, 58.53 58.53 58.53°
Fractional coordinates of all 10 atoms:
Na  0.0000  0.0000  0.0000
Pm  0.4947  0.4947  0.4947
In  0.2857  0.2857  0.2857
In  0.7901  0.7901  0.7901
Br  0.1503  0.7132  0.3518
Br  0.2336  0.6488  0.8281
Br  0.3518  0.1503  0.7132
Br  0.6488  0.8281  0.2336
Br  0.7132  0.3518  0.1503
Br  0.8281  0.2336  0.6488

Entry 7:
The following is a calculated XRD peak list of Tb2CuAs4. It was derived from DFT lattice parameters and positions (PBE), using Cu Kα.

Most intense lines, 2θ = 10–90°, low angle first:
2θ/deg  I_rel
24.26  39
31.60  14
33.12  15
37.04  47
37.35  100
45.30  42
55.15  26
59.89  23
74.05  19
78.36  23

Structural model:
Cell: 4.0038 4.0038 9.1544 Å, 90.00 90.00 90.00°
Fractional coordinates of all 7 atoms:
Tb  0.0000  0.5000  0.2459
Tb  0.5000  0.0000  0.7541
Cu  0.5000  0.5000  0.0000
As  0.0000  0.0000  0.5000
As  0.0000  0.5000  0.8579
As  0.5000  0.0000  0.1421
As  0.5000  0.5000  0.5000